TlV3Se2O12: simulated powder X-ray diffraction pattern (Cu Kα (weighted mean of Kα1 and Kα2)), based on a crystal structure in Alexandria, relaxed with GGA+U.
No peak broadening, texture or thermal motion is included.

Atomic structure:
Cell lengths 7.1746, 7.1746, 12.2207 Å; angles 90.00, 90.00, 120.00 degrees
Space group P6_3 (No. 173)
Symmetry-distinct sites (fractional):
Tl: 0.3333 0.6667 0.0000
V: 0.1284 0.7949 0.6264
Se: 0.0000 0.0000 0.3386
Se: 0.3333 0.6667 0.4106
O: 0.0821 0.5412 0.6491
O: 0.1215 0.2535 0.7778
O: 0.1240 0.2506 0.0961
O: 0.1999 0.4127 0.4694

Principal peaks in the range 10° ≤ 2θ ≤ 90°, by angle:
hkl 0 0 2, 2θ 14.50, d 6.110, rel. 46.4; hkl 1 0 2, 2θ 20.38, d 4.357, rel. 80.0; hkl 1 1 0, 2θ 24.82, d 3.587, rel. 66.1; hkl 1 0 3, 2θ 26.16, d 3.407, rel. 68.9; hkl 1 1 2, 2θ 28.86, d 3.094, rel. 100.0; hkl 2 0 1, 2θ 29.67, d 3.011, rel. 63.2; hkl 1 0 4, 2θ 32.66, d 2.742, rel. 33.3; hkl 1 0 5, 2θ 39.62, d 2.274, rel. 36.6; hkl 0 0 6, 2θ 44.52, d 2.035, rel. 34.4; hkl 2 2 0, 2θ 50.91, d 1.794, rel. 36.0